Entry 1:
For ErSc7Tl2, a structure optimized by DFT (GGA-PBE) gives the simulated PXRD pattern in this record (Cu Kα).
Lines closer than 0.1° are merged.

Main lines, in order of falling intensity (2θ = 15–90°):
2theta	I_rel
21.19	1000
36.97	724
30.09	303
21.06	289
37.13	264
41.29	246
17.33	243
35.06	236
32.44	223
48.40	177
48.51	166
66.76	134

Atomic structure:
abc: 8.437 8.437 5.118
angles: 90.00 90.00 120.32
Atoms (fractional coordinates):
Er: 0.000 0.000 0.000
Sc: 0.058 0.296 0.500
Sc: 0.224 0.776 0.000
Sc: 0.296 0.058 0.500
Sc: 0.500 0.500 0.500
Sc: 0.704 0.942 0.500
Sc: 0.776 0.224 0.000
Sc: 0.942 0.704 0.500
Tl: 0.305 0.695 0.500
Tl: 0.695 0.305 0.500

Entry 2:
For PrSc5Sb6, a structure optimized by DFT (GGA-PBE) gives the simulated PXRD pattern in this record (Cu Kα).
Lines closer than 0.1° are merged.

Main lines, in order of falling intensity (2θ = 15–90°):
2theta	I_rel
29.83	1000
42.67	603
25.76	201
52.91	186
70.24	149
78.08	127
42.80	119
70.40	97
62.02	73
53.09	60
78.24	54
70.14	52

Atomic structure:
abc: 7.339 7.339 7.346
angles: 99.68 99.68 120.10
Atoms (fractional coordinates):
Pr: 0.000 0.000 0.000
Sc: 0.159 0.841 0.500
Sc: 0.331 0.669 0.000
Sc: 0.500 0.500 0.500
Sc: 0.669 0.331 0.000
Sc: 0.841 0.159 0.500
Sb: 0.087 0.436 0.261
Sb: 0.265 0.265 0.746
Sb: 0.436 0.087 0.261
Sb: 0.564 0.913 0.739
Sb: 0.735 0.735 0.254
Sb: 0.913 0.564 0.739